# AcMnBi2O6
Simulated PXRD pattern, CuKα. Input: DFT lattice parameters and positions (PBE+U).
Neutral-atom scattering factors, no anomalous dispersion.

Structural model:
Lattice parameters (Å, degrees): 5.924 5.957 5.981 69.02 67.92 60.37
Fractional positions:
Ac (0.000, 0.000, 0.000)
Mn (0.550, 0.501, 0.467)
Bi (0.195, 0.302, 0.301)
Bi (0.699, 0.826, 0.706)
O (0.250, 0.635, 0.323)
O (0.378, 0.793, 0.640)
O (0.379, 0.112, 0.918)
O (0.681, 0.165, 0.374)
O (0.839, 0.348, 0.638)
O (0.868, 0.615, 0.132)

Largest 8 diffraction maxima, in order of rising 2θ, 2θ = 5–70°:
| 2θ (°) | I (rel.) | h k l |
| --- | --- | --- |
| 19.15 | 19.7 | 1 1 1 |
| 26.56 | 50.4 | 0 1 -1 |
| 27.10 | 47.3 | 1 0 -1 |
| 29.92 | 29.1 | 1 -1 0 |
| 30.38 | 100.0 | 2 1 1 |
| 38.74 | 21.0 | 2 2 0 |
| 43.44 | 16.8 | 0 2 2 |
| 49.32 | 15.7 | 1 3 0 |